[1]
# Y7SiS5
Simulated powder diffractogram, λ = 1.5418 Å (Cu Kα). Input: a cell relaxed with GGA-PBE.
Peak positions follow from Bragg's law for the DFT cell and can differ from measured ones.

Structure:
abc: 6.710 6.710 23.168
angles: 90.00 90.00 145.83
Atoms (fractional coordinates):
Y  0.034  0.966  0.750
Y  0.138  0.862  0.037
Y  0.138  0.862  0.463
Y  0.313  0.687  0.678
Y  0.313  0.687  0.822
Y  0.407  0.593  0.114
Y  0.407  0.593  0.386
Y  0.593  0.407  0.614
Y  0.593  0.407  0.886
Y  0.687  0.313  0.178
Y  0.687  0.313  0.322
Y  0.862  0.138  0.537
Y  0.862  0.138  0.963
Y  0.966  0.034  0.250
Si  0.304  0.696  0.250
Si  0.696  0.304  0.750
S  0.048  0.952  0.143
S  0.048  0.952  0.357
S  0.225  0.775  0.571
S  0.225  0.775  0.929
S  0.500  0.500  0.000
S  0.500  0.500  0.500
S  0.775  0.225  0.071
S  0.775  0.225  0.429
S  0.952  0.048  0.643
S  0.952  0.048  0.857

Principal peaks in the range 2θ from 10° to 90°, in order of rising 2θ:
28.3°, I 40
30.4°, I 96
31.1°, I 26
31.8°, I 100
33.0°, I 67
34.0°, I 36
42.5°, I 27
46.0°, I 64
46.6°, I 33
56.2°, I 32



[2]
# Y8SiS5
Simulated powder diffractogram, λ = 1.5418 Å (Cu Kα). Input: a cell relaxed with GGA-PBE.
Peak positions follow from Bragg's law for the DFT cell and can differ from measured ones.

Structure:
abc: 7.297 7.297 7.297
angles: 109.29 109.29 109.84
Atoms (fractional coordinates):
Y  0.008  0.130  0.754
Y  0.246  0.500  0.621
Y  0.375  0.754  0.254
Y  0.376  0.255  0.246
Y  0.500  0.120  0.746
Y  0.745  0.992  0.121
Y  0.870  0.624  0.879
Y  0.880  0.625  0.379
Si  0.500  0.500  0.000
S  0.126  0.002  0.374
S  0.249  0.874  0.876
S  0.628  0.751  0.626
S  0.750  0.250  0.500
S  0.998  0.372  0.124

Principal peaks in the range 2θ from 10° to 90°, in order of rising 2θ:
25.9°, I 33
30.0°, I 25
33.6°, I 100
33.8°, I 50
40.0°, I 59
40.1°, I 28
53.2°, I 19
55.5°, I 23
55.6°, I 14
55.7°, I 16